# Nd8Sm3Pu
Computed powder X-ray diffraction pattern, λ = 1.5418 Å (Cu Kα). Input: the GGA-PBE geometry in Alexandria.

Structure:
```
Nd8Sm3Pu
1.0
-4.4011 4.4011 5.8049
4.4011 -4.4011 5.8049
4.4011 4.4011 -5.8049
Nd Sm Pu
8 3 1
direct
0.1387 0.1387 0.7517
0.2421 0.7130 0.0000
0.2870 0.2870 0.5291
0.3870 0.3870 0.2483
0.6130 0.8613 0.0000
0.7130 0.2421 0.0000
0.7579 0.7579 0.4709
0.8613 0.6130 0.0000
0.0000 0.0000 0.0000
0.2500 0.7500 0.5000
0.7500 0.2500 0.5000
0.5000 0.5000 0.0000
```

Most intense lines, 2θ from 10° to 80°, by intensity:
35.78°, I = 100
28.69°, I = 73
30.81°, I = 58
23.87°, I = 46
42.59°, I = 45
44.01°, I = 41
14.23°, I = 35
20.93°, I = 35
55.54°, I = 31
58.05°, I = 31